For Li2SmIO6, a cell relaxed with PBE gives the simulated powder X-ray diffraction pattern in this record (Cu Kα X-rays).

Cell and atoms:
a b c (Å): 5.2281 5.2281 15.7123
angles (deg): 90.00 90.00 120.00
Space group R-3 (No. 148, hexagonal axes)
Asymmetric unit:
Li 0.0000 0.0000 0.1963 (multiplicity 6)
Sm 0.0000 0.0000 0.0000 (multiplicity 3)
I 0.0000 0.0000 0.5000 (multiplicity 3)
O 0.0190 0.3087 0.5686 (multiplicity 18)

Largest 6 diffraction maxima, sorted by position, 2θ from 10° to 80°:
two_theta	d (Å)	I (rel.)
22.67	3.923	100
30.12	2.967	45
34.29	2.615	30
46.29	1.961	16
49.25	1.850	32
54.91	1.672	16